# Er3SiC3
Simulated X-ray powder pattern, Cu Kα, 1.54184 Å. Input: a structure optimized by DFT (GGA-PBE).
Intensities are scaled so that the largest is 100.

Largest 8 diffraction maxima, low angle first, 2θ from 10° to 90°:
- 27.14 deg, rel. 29
- 28.37 deg, rel. 15
- 29.43 deg, rel. 35
- 31.76 deg, rel. 22
- 33.64 deg, rel. 21
- 36.81 deg, rel. 100
- 45.38 deg, rel. 21
- 59.67 deg, rel. 21

Structural model:
```
data_Er3SiC3
_chemical_formula_sum 'Er12 Si4 C12'
_cell_length_a 10.9176
_cell_length_b 3.4434
_cell_length_c 10.9879
_cell_angle_alpha 90.00
_cell_angle_beta 90.00
_cell_angle_gamma 90.00
_space_group_name_H-M_alt 'P n m a'
_space_group_IT_number 62
loop_
_space_group_symop_operation_xyz
'x,y,z'
'-x,-y,-z'
'-x+1/2,-y,z+1/2'
'x+1/2,y,-z+1/2'
'x+1/2,-y+1/2,-z+1/2'
'-x+1/2,y+1/2,z+1/2'
'-x,y+1/2,-z'
'x,-y+1/2,z'
loop_
_atom_site_label
_atom_site_type_symbol
_atom_site_fract_x
_atom_site_fract_y
_atom_site_fract_z
Er1 Er 0.0892 0.2500 0.0960
Er2 Er 0.1241 0.7500 0.5164
Er3 Er 0.2162 0.7500 0.8095
Si1 Si 0.0339 0.2500 0.7065
C1 C 0.0486 0.2500 0.3463
C2 C 0.0627 0.2500 0.8775
C3 C 0.2117 0.2500 0.6466
```

***

# PrSm6Er2
Simulated X-ray powder pattern, Cu Kα, 1.54184 Å. Input: a structure optimized by DFT (GGA-PBE).
Intensities are scaled so that the largest is 100.

Largest 8 diffraction maxima, low angle first, 2θ from 10° to 90°:
- 30.31 deg, rel. 100
- 35.09 deg, rel. 34
- 35.25 deg, rel. 17
- 50.49 deg, rel. 18
- 50.60 deg, rel. 18
- 60.02 deg, rel. 25
- 60.22 deg, rel. 11
- 63.08 deg, rel. 9

Structural model:
```
data_PrSm6Er2
_chemical_formula_sum 'Pr1 Sm6 Er2'
_cell_length_a 3.6159
_cell_length_b 8.8397
_cell_length_c 9.5498
_cell_angle_alpha 90.28
_cell_angle_beta 100.91
_cell_angle_gamma 90.07
_space_group_name_H-M_alt 'P -1'
_space_group_IT_number 2
loop_
_space_group_symop_operation_xyz
'x,y,z'
'-x,-y,-z'
loop_
_atom_site_label
_atom_site_type_symbol
_atom_site_fract_x
_atom_site_fract_y
_atom_site_fract_z
Pr1 Pr 0.0000 0.0000 0.0000
Sm1 Sm 0.1099 0.6643 0.2199
Sm2 Sm 0.2212 0.3351 0.4423
Sm3 Sm 0.3326 0.0007 0.6660
Er1 Er 0.4446 0.6649 0.8893
```

***

# TbHo2Cr2C4
Simulated X-ray powder pattern, Cu Kα, 1.54184 Å. Input: a structure optimized by DFT (GGA-PBE).
Intensities are scaled so that the largest is 100.

Largest 8 diffraction maxima, low angle first, 2θ from 10° to 90°:
- 27.18 deg, rel. 81
- 27.86 deg, rel. 77
- 32.11 deg, rel. 71
- 34.43 deg, rel. 100
- 38.23 deg, rel. 34
- 40.43 deg, rel. 66
- 41.34 deg, rel. 96
- 53.85 deg, rel. 25

Structural model:
```
data_TbHo2Cr2C4
_chemical_formula_sum 'Tb2 Ho4 Cr4 C8'
_cell_length_a 13.0839
_cell_length_b 3.4052
_cell_length_c 5.9600
_cell_angle_alpha 90.00
_cell_angle_beta 110.69
_cell_angle_gamma 90.00
_space_group_name_H-M_alt 'C 1 2/m 1'
_space_group_IT_number 12
loop_
_space_group_symop_operation_xyz
'x,y,z'
'-x,-y,-z'
'-x,y,-z'
'x,-y,z'
'x+1/2,y+1/2,z'
'-x+1/2,-y+1/2,-z'
'-x+1/2,y+1/2,-z'
'x+1/2,-y+1/2,z'
loop_
_atom_site_label
_atom_site_type_symbol
_atom_site_fract_x
_atom_site_fract_y
_atom_site_fract_z
Tb1 Tb 0.0000 0.0000 0.0000
Ho1 Ho 0.1352 0.0000 0.5439
Cr1 Cr 0.1794 0.5000 0.9863
C1 C 0.0426 0.5000 0.7468
C2 C 0.2167 0.0000 0.1905
```